This entry pairs a crystal structure of FePSe with its calculated PXRD pattern. Radiation: Cu Kα (λ = 1.5418 Å). Structure: a cell relaxed with GGA-PBE.
Peak positions follow from Bragg's law for the DFT cell and can differ from measured ones.

The 6 most intense peaks (10 to 90 degrees two-theta), in order of rising 2θ:
33.5 deg, rel. 79, (0 0 2)
33.9 deg, rel. 70, (2 0 0)
36.6 deg, rel. 100, (1 2 -1)
37.4 deg, rel. 56, (2 1 0)
56.2 deg, rel. 59, (1 3 1)
57.6 deg, rel. 48, (2 0 2)

Structural model:
```
data_FePSe
_cell_length_a 5.737
_cell_length_b 5.714
_cell_length_c 5.806
_cell_angle_alpha 90.00
_cell_angle_beta 112.69
_cell_angle_gamma 90.00
_space_group_name_H-M_alt 'P 1 21/c 1'
_space_group_IT_number 14
loop_
_space_group_symop_operation_xyz
'x,y,z'
'-x,-y,-z'
'-x,y+1/2,-z+1/2'
'x,-y+1/2,z+1/2'
loop_
_atom_site_label
_atom_site_fract_x
_atom_site_fract_y
_atom_site_fract_z
Fe1 0.236 0.009 0.212
P1 0.359 0.135 0.618
Se1 0.162 0.629 0.315
```